Calculated powder diffraction line list of Li4Ni5O9 for Cu Kα (λ = 1.5418 Å), from a crystal structure in Alexandria, relaxed with PBE+U.
No peak broadening, texture or thermal motion is included.

Cell lengths 6.5234, 7.7073, 7.7222 Å; angles 64.93, 85.42, 65.15 degrees
Element x y z (fractional)
Li 0.0567 0.2774 0.0568
Li 0.1560 0.8488 0.1589
Li 0.2787 0.3809 0.2812
Li 0.3871 0.9512 0.3882
Li 0.6129 0.0488 0.6118
Li 0.7213 0.6191 0.7188
Li 0.8440 0.1512 0.8411
Li 0.9433 0.7226 0.9432
Ni 0.0568 0.7778 0.5548
Ni 0.1703 0.3288 0.6732
Ni 0.2783 0.8908 0.7768
Ni 0.3930 0.4446 0.8894
Ni 0.5000 0.0000 0.0000
Ni 0.5000 0.5000 0.5000
Ni 0.6070 0.5554 0.1106
Ni 0.7217 0.1092 0.2232
Ni 0.8297 0.6712 0.3268
Ni 0.9432 0.2222 0.4452
O 0.0286 0.0353 0.3030
O 0.0822 0.5142 0.8007
O 0.1690 0.0999 0.9017
O 0.1803 0.5559 0.4408
O 0.2656 0.1395 0.5503
O 0.2964 0.6369 0.0061
O 0.3934 0.6884 0.6293
O 0.4140 0.1863 0.1440
O 0.4969 0.7342 0.2386
O 0.5031 0.2658 0.7614
O 0.5860 0.8137 0.8560
O 0.6066 0.3116 0.3707
O 0.7036 0.3631 0.9939
O 0.7344 0.8605 0.4497
O 0.8197 0.4441 0.5592
O 0.8310 0.9001 0.0983
O 0.9178 0.4858 0.1993
O 0.9714 0.9647 0.6970

Peak list (10 most intense, 10 to 80 degrees two-theta, sorted by position)
2theta	d [Å]	I/Imax
18.58	4.777	100
35.99	2.495	15
36.16	2.484	30
37.70	2.386	30
37.82	2.379	10
43.72	2.071	36
43.92	2.062	71
47.98	1.896	11
63.65	1.462	20
63.73	1.460	29

---

Calculated powder diffraction line list of Li5Ni7O12 for Cu Kα (λ = 1.5418 Å), from a crystal structure in Alexandria, relaxed with PBE+U.
No peak broadening, texture or thermal motion is included.

Cell lengths 5.0427, 5.0427, 9.6678 Å; angles 94.79, 94.79, 119.43 degrees
Element x y z (fractional)
Li 0.0000 0.0000 0.0000
Li 0.2401 0.2554 0.7560
Li 0.4122 0.0751 0.2473
Li 0.7446 0.7599 0.2440
Li 0.9249 0.5878 0.7527
Ni 0.0836 0.4138 0.2471
Ni 0.1674 0.8326 0.5000
Ni 0.3326 0.6674 0.0000
Ni 0.5015 0.4985 0.5000
Ni 0.5863 0.9164 0.7529
Ni 0.6691 0.3309 0.0000
Ni 0.8346 0.1654 0.5000
O 0.0542 0.6926 0.1172
O 0.1060 0.1271 0.3825
O 0.2238 0.5541 0.6234
O 0.3074 0.9458 0.8828
O 0.3826 0.4009 0.1148
O 0.4459 0.7762 0.3766
O 0.5607 0.2024 0.6146
O 0.5991 0.6174 0.8852
O 0.7075 0.0673 0.1221
O 0.7976 0.4393 0.3854
O 0.8729 0.8940 0.6175
O 0.9327 0.2925 0.8779

Peak list (10 most intense, 10 to 80 degrees two-theta, sorted by position)
2theta	d [Å]	I/Imax
18.61	4.767	43
20.40	4.353	36
21.21	4.188	17
23.68	3.757	35
37.70	2.386	30
37.78	2.381	30
43.46	2.082	53
44.05	2.056	100
63.56	1.464	28
63.66	1.462	28

---

Calculated powder diffraction line list of Li11Ni13O24 for Cu Kα (λ = 1.5418 Å), from a crystal structure in Alexandria, relaxed with PBE+U.
No peak broadening, texture or thermal motion is included.

Cell lengths 7.6988, 7.6988, 9.7100 Å; angles 120.99, 120.99, 69.10 degrees
Element x y z (fractional)
Li 0.0000 0.0000 0.0000
Li 0.0833 0.4130 0.2474
Li 0.1650 0.8350 0.5000
Li 0.2497 0.2497 0.7456
Li 0.3337 0.6663 0.0000
Li 0.4130 0.0833 0.2474
Li 0.5870 0.9167 0.7526
Li 0.6663 0.3337 0.0000
Li 0.7503 0.7503 0.2544
Li 0.8350 0.1650 0.5000
Li 0.9167 0.5870 0.7526
Ni 0.0391 0.7075 0.1246
Ni 0.1238 0.1238 0.3723
Ni 0.2074 0.5428 0.6249
Ni 0.2925 0.9609 0.8754
Ni 0.3750 0.3750 0.1251
Ni 0.4572 0.7926 0.3751
Ni 0.5000 0.5000 0.5000
Ni 0.5428 0.2074 0.6249
Ni 0.6250 0.6250 0.8749
Ni 0.7075 0.0391 0.1246
Ni 0.7926 0.4572 0.3751
Ni 0.8762 0.8762 0.6277
Ni 0.9609 0.2925 0.8754
O 0.0294 0.3418 0.5465
O 0.0718 0.0718 0.7090
O 0.1002 0.7837 0.8033
O 0.1422 0.4856 0.9522
O 0.2001 0.2001 0.0611
O 0.2163 0.8998 0.1967
O 0.2771 0.6003 0.3120
O 0.3189 0.3189 0.4424
O 0.3418 0.0294 0.5465
O 0.3997 0.7229 0.6880
O 0.4483 0.4483 0.8100
O 0.4856 0.1422 0.9522
O 0.5144 0.8578 0.0478
O 0.5517 0.5517 0.1900
O 0.6003 0.2771 0.3120
O 0.6582 0.9706 0.4535
O 0.6811 0.6811 0.5576
O 0.7229 0.3997 0.6880
O 0.7837 0.1002 0.8033
O 0.7999 0.7999 0.9389
O 0.8578 0.5144 0.0478
O 0.8998 0.2163 0.1967
O 0.9282 0.9282 0.2910
O 0.9706 0.6582 0.4535

Peak list (10 most intense, 10 to 80 degrees two-theta, sorted by position)
2theta	d [Å]	I/Imax
18.57	4.778	100
36.19	2.482	29
36.30	2.475	15
37.88	2.375	25
43.88	2.063	65
44.09	2.054	32
48.14	1.890	10
57.96	1.591	12
63.82	1.459	18
64.10	1.453	18